This entry pairs a crystal structure of Tb4MgAl12 with its computed X-ray diffraction stick pattern. Radiation: Cu Kα X-rays. Structure: the PBE geometry in Alexandria.

Structure:
```
data_Tb4MgAl12
_space_group_name_H-M_alt 'P 1'
_space_group_IT_number 1
_space_group_name_Hall 'P 1'
_cell_length_a 7.635
_cell_length_b 7.635
_cell_length_c 7.635
_cell_angle_alpha 109.47
_cell_angle_beta 109.47
_cell_angle_gamma 109.47
loop_
_atom_site_label
_atom_site_type_symbol
_atom_site_fract_x
_atom_site_fract_y
_atom_site_fract_z
_atom_site_occupancy
Tb1 Tb 0.000 0.000 0.500 1
Tb2 Tb 0.000 0.500 0.000 1
Tb3 Tb 0.500 0.000 0.000 1
Tb4 Tb 0.500 0.500 0.500 1
Mg1 Mg 0.000 0.000 0.000 1
Al1 Al 0.000 0.315 0.315 1
Al2 Al 0.000 0.685 0.685 1
Al3 Al 0.250 0.500 0.750 1
Al4 Al 0.250 0.750 0.500 1
Al5 Al 0.315 0.000 0.315 1
Al6 Al 0.315 0.315 0.000 1
Al7 Al 0.500 0.250 0.750 1
Al8 Al 0.500 0.750 0.250 1
Al9 Al 0.685 0.000 0.685 1
Al10 Al 0.685 0.685 0.000 1
Al11 Al 0.750 0.250 0.500 1
Al12 Al 0.750 0.500 0.250 1
```

Largest 10 diffraction maxima, low angle first, 2θ = 10–80°:
20.14°, intensity 78; 28.64°, intensity 100; 35.27°, intensity 88; 40.95°, intensity 48; 46.04°, intensity 47; 50.73°, intensity 34; 59.29°, intensity 28; 63.29°, intensity 25; 67.15°, intensity 23; 70.91°, intensity 29

---

This entry pairs a crystal structure of Tb4MgAl2Zn with its computed X-ray diffraction stick pattern. Radiation: Cu Kα X-rays. Structure: the PBE geometry in Alexandria.

Structure:
```
data_Tb4MgAl2Zn
_space_group_name_H-M_alt 'P 1'
_space_group_IT_number 1
_space_group_name_Hall 'P 1'
_cell_length_a 8.941
_cell_length_b 8.941
_cell_length_c 8.941
_cell_angle_alpha 33.54
_cell_angle_beta 33.54
_cell_angle_gamma 33.54
loop_
_atom_site_label
_atom_site_type_symbol
_atom_site_fract_x
_atom_site_fract_y
_atom_site_fract_z
_atom_site_occupancy
Tb1 Tb 0.120 0.120 0.120 1
Tb2 Tb 0.371 0.371 0.371 1
Tb3 Tb 0.629 0.629 0.629 1
Tb4 Tb 0.880 0.880 0.880 1
Mg1 Mg 0.500 0.500 0.500 1
Al1 Al 0.246 0.246 0.246 1
Al2 Al 0.754 0.754 0.754 1
Zn1 Zn 0.000 0.000 0.000 1
```

Largest 10 diffraction maxima, low angle first, 2θ = 10–80°:
10.49°, intensity 3; 24.39°, intensity 46; 34.77°, intensity 100; 42.93°, intensity 14; 47.86°, intensity 2; 49.98°, intensity 17; 56.38°, intensity 18; 62.32°, intensity 35; 73.38°, intensity 11; 78.66°, intensity 8

---

This entry pairs a crystal structure of Mg3AlTe4 with its computed X-ray diffraction stick pattern. Radiation: Cu Kα X-rays. Structure: the PBE geometry in Alexandria.

Structure:
```
data_Mg3AlTe4
_space_group_name_H-M_alt 'P 1'
_space_group_IT_number 1
_space_group_name_Hall 'P 1'
_cell_length_a 6.556
_cell_length_b 6.556
_cell_length_c 12.990
_cell_angle_alpha 90.00
_cell_angle_beta 90.00
_cell_angle_gamma 90.00
loop_
_atom_site_label
_atom_site_type_symbol
_atom_site_fract_x
_atom_site_fract_y
_atom_site_fract_z
_atom_site_occupancy
Mg1 Mg 0.000 0.000 0.000 1
Mg2 Mg 0.000 0.500 0.250 1
Mg3 Mg 0.000 0.500 0.750 1
Mg4 Mg 0.500 0.000 0.250 1
Mg5 Mg 0.500 0.000 0.750 1
Mg6 Mg 0.500 0.500 0.500 1
Al1 Al 0.000 0.000 0.500 1
Al2 Al 0.500 0.500 0.000 1
Te1 Te 0.250 0.250 0.376 1
Te2 Te 0.250 0.250 0.876 1
Te3 Te 0.250 0.750 0.124 1
Te4 Te 0.250 0.750 0.624 1
Te5 Te 0.750 0.250 0.124 1
Te6 Te 0.750 0.250 0.624 1
Te7 Te 0.750 0.750 0.376 1
Te8 Te 0.750 0.750 0.876 1
```

Largest 10 diffraction maxima, low angle first, 2θ = 10–80°:
23.58°, intensity 100; 27.21°, intensity 21; 27.47°, intensity 10; 38.86°, intensity 19; 39.04°, intensity 37; 45.95°, intensity 33; 46.28°, intensity 16; 48.24°, intensity 9; 61.98°, intensity 13; 70.48°, intensity 13

---

This entry pairs a crystal structure of Th2MgAl3Zn4 with its computed X-ray diffraction stick pattern. Radiation: Cu Kα X-rays. Structure: the PBE geometry in Alexandria.

Structure:
```
data_Th2MgAl3Zn4
_space_group_name_H-M_alt 'P 1'
_space_group_IT_number 1
_space_group_name_Hall 'P 1'
_cell_length_a 4.269
_cell_length_b 4.269
_cell_length_c 10.944
_cell_angle_alpha 90.00
_cell_angle_beta 90.00
_cell_angle_gamma 90.00
loop_
_atom_site_label
_atom_site_type_symbol
_atom_site_fract_x
_atom_site_fract_y
_atom_site_fract_z
_atom_site_occupancy
Th1 Th 0.000 0.500 0.240 1
Th2 Th 0.500 0.000 0.760 1
Mg1 Mg 0.000 0.000 0.500 1
Al1 Al 0.000 0.500 0.869 1
Al2 Al 0.500 0.000 0.131 1
Al3 Al 0.500 0.500 0.500 1
Zn1 Zn 0.000 0.000 0.000 1
Zn2 Zn 0.000 0.500 0.644 1
Zn3 Zn 0.500 0.000 0.356 1
Zn4 Zn 0.500 0.500 0.000 1
```

Largest 10 diffraction maxima, low angle first, 2θ = 10–80°:
16.20°, intensity 25; 22.36°, intensity 51; 29.60°, intensity 31; 32.28°, intensity 70; 33.92°, intensity 100; 42.35°, intensity 42; 46.63°, intensity 34; 54.23°, intensity 33; 64.80°, intensity 25; 72.06°, intensity 22

---

This entry pairs a crystal structure of Mg16TiAl12 with its computed X-ray diffraction stick pattern. Radiation: Cu Kα X-rays. Structure: the PBE geometry in Alexandria.

Structure:
```
data_Mg16TiAl12
_space_group_name_H-M_alt 'P 1'
_space_group_IT_number 1
_space_group_name_Hall 'P 1'
_cell_length_a 9.056
_cell_length_b 9.056
_cell_length_c 9.056
_cell_angle_alpha 109.47
_cell_angle_beta 109.47
_cell_angle_gamma 109.47
loop_
_atom_site_label
_atom_site_type_symbol
_atom_site_fract_x
_atom_site_fract_y
_atom_site_fract_z
_atom_site_occupancy
Mg1 Mg 0.000 0.000 0.657 1
Mg2 Mg 0.000 0.398 0.683 1
Mg3 Mg 0.000 0.657 0.000 1
Mg4 Mg 0.000 0.683 0.398 1
Mg5 Mg 0.286 0.602 0.602 1
Mg6 Mg 0.317 0.317 0.714 1
Mg7 Mg 0.317 0.714 0.317 1
Mg8 Mg 0.343 0.343 0.343 1
Mg9 Mg 0.398 0.000 0.683 1
Mg10 Mg 0.398 0.683 0.000 1
Mg11 Mg 0.602 0.286 0.602 1
Mg12 Mg 0.602 0.602 0.286 1
Mg13 Mg 0.657 0.000 0.000 1
Mg14 Mg 0.683 0.000 0.398 1
Mg15 Mg 0.683 0.398 0.000 1
Mg16 Mg 0.714 0.317 0.317 1
Ti1 Ti 0.000 0.000 0.000 1
Al1 Al 0.000 0.184 0.364 1
Al2 Al 0.000 0.364 0.184 1
Al3 Al 0.179 0.816 0.816 1
Al4 Al 0.184 0.000 0.364 1
Al5 Al 0.184 0.364 0.000 1
Al6 Al 0.364 0.000 0.184 1
Al7 Al 0.364 0.184 0.000 1
Al8 Al 0.636 0.636 0.821 1
Al9 Al 0.636 0.821 0.636 1
Al10 Al 0.816 0.179 0.816 1
Al11 Al 0.816 0.816 0.179 1
Al12 Al 0.821 0.636 0.636 1
```

Largest 10 diffraction maxima, low angle first, 2θ = 10–80°:
11.97°, intensity 6; 36.46°, intensity 100; 40.46°, intensity 26; 42.35°, intensity 11; 44.16°, intensity 12; 61.43°, intensity 5; 62.84°, intensity 8; 65.61°, intensity 27; 70.97°, intensity 5; 77.45°, intensity 8

---

This entry pairs a crystal structure of Mg2TiAl with its computed X-ray diffraction stick pattern. Radiation: Cu Kα X-rays. Structure: the PBE geometry in Alexandria.

Structure:
```
data_Mg2TiAl
_space_group_name_H-M_alt 'P 1'
_space_group_IT_number 1
_space_group_name_Hall 'P 1'
_cell_length_a 4.103
_cell_length_b 4.103
_cell_length_c 4.399
_cell_angle_alpha 90.00
_cell_angle_beta 90.00
_cell_angle_gamma 90.00
loop_
_atom_site_label
_atom_site_type_symbol
_atom_site_fract_x
_atom_site_fract_y
_atom_site_fract_z
_atom_site_occupancy
Mg1 Mg 0.000 0.500 0.000 1
Mg2 Mg 0.500 0.000 0.000 1
Ti1 Ti 0.000 0.000 0.500 1
Al1 Al 0.500 0.500 0.500 1
```

Largest 10 diffraction maxima, low angle first, 2θ = 10–80°:
21.66°, intensity 6; 29.78°, intensity 5; 37.12°, intensity 100; 41.04°, intensity 19; 44.15°, intensity 30; 61.85°, intensity 21; 64.21°, intensity 9; 72.19°, intensity 13; 76.56°, intensity 21; 79.09°, intensity 10

---

This entry pairs a crystal structure of Mg6TiAl with its computed X-ray diffraction stick pattern. Radiation: Cu Kα X-rays. Structure: the PBE geometry in Alexandria.

Structure:
```
data_Mg6TiAl
_space_group_name_H-M_alt 'P 1'
_space_group_IT_number 1
_space_group_name_Hall 'P 1'
_cell_length_a 4.868
_cell_length_b 6.266
_cell_length_c 10.904
_cell_angle_alpha 90.00
_cell_angle_beta 90.00
_cell_angle_gamma 90.00
loop_
_atom_site_label
_atom_site_type_symbol
_atom_site_fract_x
_atom_site_fract_y
_atom_site_fract_z
_atom_site_occupancy
Mg1 Mg 0.000 0.000 0.000 1
Mg2 Mg 0.000 0.245 0.253 1
Mg3 Mg 0.000 0.255 0.753 1
Mg4 Mg 0.000 0.500 0.500 1
Mg5 Mg 0.000 0.745 0.753 1
Mg6 Mg 0.000 0.755 0.253 1
Mg7 Mg 0.500 0.000 0.836 1
Mg8 Mg 0.500 0.246 0.586 1
Mg9 Mg 0.500 0.254 0.086 1
Mg10 Mg 0.500 0.500 0.336 1
Mg11 Mg 0.500 0.746 0.086 1
Mg12 Mg 0.500 0.754 0.586 1
Ti1 Ti 0.500 0.000 0.344 1
Ti2 Ti 0.500 0.500 0.844 1
Al1 Al 0.000 0.000 0.487 1
Al2 Al 0.000 0.500 0.987 1
```

Largest 10 diffraction maxima, low angle first, 2θ = 10–80°:
16.29°, intensity 13; 32.97°, intensity 31; 36.93°, intensity 38; 37.82°, intensity 58; 37.93°, intensity 100; 50.34°, intensity 18; 58.73°, intensity 18; 67.18°, intensity 27; 71.44°, intensity 19; 72.21°, intensity 15

---

This entry pairs a crystal structure of Mg5AlTl2 with its computed X-ray diffraction stick pattern. Radiation: Cu Kα X-rays. Structure: the PBE geometry in Alexandria.

Structure:
```
data_Mg5AlTl2
_space_group_name_H-M_alt 'P 1'
_space_group_IT_number 1
_space_group_name_Hall 'P 1'
_cell_length_a 6.548
_cell_length_b 8.270
_cell_length_c 6.777
_cell_angle_alpha 90.00
_cell_angle_beta 90.00
_cell_angle_gamma 90.00
loop_
_atom_site_label
_atom_site_type_symbol
_atom_site_fract_x
_atom_site_fract_y
_atom_site_fract_z
_atom_site_occupancy
Mg1 Mg 0.000 0.000 0.000 1
Mg2 Mg 0.248 0.240 0.730 1
Mg3 Mg 0.248 0.760 0.730 1
Mg4 Mg 0.252 0.260 0.230 1
Mg5 Mg 0.252 0.740 0.230 1
Mg6 Mg 0.500 0.500 0.500 1
Mg7 Mg 0.748 0.260 0.230 1
Mg8 Mg 0.748 0.740 0.230 1
Mg9 Mg 0.752 0.240 0.730 1
Mg10 Mg 0.752 0.760 0.730 1
Al1 Al 0.000 0.000 0.464 1
Al2 Al 0.500 0.500 0.964 1
Tl1 Tl 0.000 0.500 0.487 1
Tl2 Tl 0.000 0.500 0.973 1
Tl3 Tl 0.500 0.000 0.473 1
Tl4 Tl 0.500 0.000 0.987 1
```

Largest 10 diffraction maxima, low angle first, 2θ = 10–80°:
17.27°, intensity 100; 21.49°, intensity 31; 26.30°, intensity 19; 31.64°, intensity 47; 34.21°, intensity 49; 34.96°, intensity 47; 38.22°, intensity 37; 44.27°, intensity 19; 44.57°, intensity 19; 59.50°, intensity 20